The following is a calculated powder XRD pattern of BaAlAsH2. It was derived from DFT lattice parameters and positions (PBE), using Cu Ka.
No peak broadening, texture or thermal motion is included.

Most intense lines, 2θ from 15° to 90°, in order of rising 2θ:
18.0°, d 4.934, I = 720, hkl 0 0 1; 27.1°, d 3.288, I = 557, hkl 1 0 1; 28.6°, d 3.118, I = 1000, hkl 1 1 0; 34.0°, d 2.636, I = 634, hkl 1 1 1; 42.0°, d 2.153, I = 507, hkl 1 0 2; 60.1°, d 1.541, I = 497, hkl 2 1 2

Cell and atoms:
```
data_BaAlAsH2
_chemical_formula_sum 'Ba1 Al1 As1 H2'
_symmetry_space_group_name_H-M 'P 4 m m'
_symmetry_Int_Tables_number 99
_cell_length_a 4.4091
_cell_length_b 4.4091
_cell_length_c 4.9345
_cell_angle_alpha 90.00
_cell_angle_beta 90.00
_cell_angle_gamma 90.00
loop_
_symmetry_equiv_pos_as_xyz
'x,y,z'
'-y,x,z'
'-x,-y,z'
'y,-x,z'
'-x,y,z'
'y,x,z'
'x,-y,z'
'-y,-x,z'
loop_
_atom_site_label
_atom_site_fract_x
_atom_site_fract_y
_atom_site_fract_z
Ba1 0.0000 0.0000 0.0000
Al1 0.5000 0.5000 0.3489
As1 0.5000 0.5000 0.8391
H1 0.0000 0.5000 0.3332
```

---

The following is a calculated powder XRD pattern of TbEr3Tl4Se8. It was derived from DFT lattice parameters and positions (PBE), using Cu Ka.
No peak broadening, texture or thermal motion is included.

Most intense lines, 2θ from 15° to 90°, in order of rising 2θ:
25.8°, d 3.447, I = 215, hkl 2 0 2; 29.1°, d 3.068, I = 1000, hkl 0 2 4; 39.7°, d 2.268, I = 377, hkl 2 0 8; 43.4°, d 2.083, I = 354, hkl 2 2 0; 53.1°, d 1.723, I = 187, hkl 4 0 4; 71.0°, d 1.328, I = 158, hkl 2 4 4

Cell and atoms:
```
data_TbEr3Tl4Se8
_chemical_formula_sum 'Tb3 Er9 Tl12 Se24'
_symmetry_space_group_name_H-M 'R -3 m'
_symmetry_Int_Tables_number 166
_symmetry_space_group_name_Hall '-R 3 2"'
_cell_length_a 8.3319
_cell_length_b 8.3319
_cell_length_c 23.3307
_cell_angle_alpha 90.00
_cell_angle_beta 90.00
_cell_angle_gamma 120.00
loop_
_atom_site_label
_atom_site_fract_x
_atom_site_fract_y
_atom_site_fract_z
Tb1 0.0000 0.0000 0.0000
Er1 0.0000 0.5000 0.0000
Tl1 0.0000 0.0000 0.5000
Tl2 0.0000 0.5000 0.5000
Se1 0.0000 0.0000 0.2660
Se2 0.0028 0.5014 0.2656
```